Record 1
V2Hg3O8: calculated X-ray diffraction stick pattern (λ = 1.5418 Å (Cu Kα)), based on a crystal structure in Alexandria, relaxed with PBE+U.
Kinematic intensities with the Lorentz-polarization factor, no thermal factor.

```
V2Hg3O8
1.0
3.821 -6.823 0.000
3.821 6.823 0.000
0.000 0.000 8.153
V Hg O
4 6 16
direct
0.128 0.872 0.883 V
0.372 0.628 0.383 V
0.628 0.372 0.617 V
0.872 0.128 0.117 V
0.000 0.000 0.500 Hg
0.100 0.400 0.750 Hg
0.400 0.100 0.250 Hg
0.500 0.500 0.000 Hg
0.600 0.900 0.750 Hg
0.900 0.600 0.250 Hg
0.025 0.975 0.746 O
0.068 0.314 0.999 O
0.186 0.432 0.501 O
0.238 0.762 0.781 O
0.262 0.738 0.281 O
0.314 0.068 0.001 O
0.432 0.186 0.499 O
0.475 0.525 0.246 O
0.525 0.475 0.754 O
0.568 0.814 0.501 O
0.686 0.932 0.999 O
0.738 0.262 0.719 O
0.762 0.238 0.219 O
0.814 0.568 0.499 O
0.932 0.686 0.001 O
0.975 0.025 0.254 O
```

Top 10 peaks for 2θ = 10–90°, in order of falling intensity:
- 2θ 28.94, I 100
- 2θ 16.94, I 68
- 2θ 25.27, I 50
- 2θ 32.11, I 43
- 2θ 35.27, I 39
- 2θ 25.45, I 33
- 2θ 57.97, I 32
- 2θ 26.74, I 28
- 2θ 35.56, I 27
- 2θ 51.88, I 27

Record 2
V4HgO10: calculated X-ray diffraction stick pattern (λ = 1.5418 Å (Cu Kα)), based on a crystal structure in Alexandria, relaxed with PBE+U.
Kinematic intensities with the Lorentz-polarization factor, no thermal factor.

```
V4HgO10
1.0
11.497 -1.841 0.000
11.497 1.841 0.000
-0.445 0.000 9.833
V Hg O
8 2 20
direct
0.105 0.105 0.442 V
0.242 0.242 0.267 V
0.313 0.313 0.966 V
0.377 0.377 0.303 V
0.623 0.623 0.697 V
0.687 0.687 0.034 V
0.758 0.758 0.733 V
0.895 0.895 0.558 V
0.016 0.016 0.127 Hg
0.984 0.984 0.873 Hg
0.044 0.044 0.339 O
0.127 0.127 0.644 O
0.162 0.162 0.342 O
0.209 0.209 0.039 O
0.272 0.272 0.787 O
0.283 0.283 0.407 O
0.319 0.319 0.165 O
0.381 0.381 0.931 O
0.400 0.400 0.501 O
0.436 0.436 0.218 O
0.564 0.564 0.782 O
0.600 0.600 0.499 O
0.619 0.619 0.069 O
0.681 0.681 0.835 O
0.717 0.717 0.593 O
0.728 0.728 0.213 O
0.791 0.791 0.961 O
0.838 0.838 0.658 O
0.873 0.873 0.356 O
0.956 0.956 0.661 O
```

Top 10 peaks for 2θ = 10–90°, in order of falling intensity:
- 2θ 24.54, I 100
- 2θ 17.53, I 66
- 2θ 26.87, I 60
- 2θ 28.64, I 54
- 2θ 28.22, I 52
- 2θ 26.08, I 36
- 2θ 49.51, I 34
- 2θ 32.22, I 31
- 2θ 44.68, I 28
- 2θ 18.24, I 28

Record 3
V3Hg2O9: calculated X-ray diffraction stick pattern (λ = 1.5418 Å (Cu Kα)), based on a crystal structure in Alexandria, relaxed with PBE+U.
Kinematic intensities with the Lorentz-polarization factor, no thermal factor.

```
V3Hg2O9
1.0
7.766 0.000 0.000
-3.033 7.543 0.000
-2.747 -3.451 7.041
V Hg O
6 4 18
direct
0.039 0.380 0.238 V
0.209 0.387 0.667 V
0.308 0.806 0.614 V
0.692 0.194 0.386 V
0.791 0.613 0.333 V
0.961 0.620 0.762 V
0.153 0.996 0.276 Hg
0.296 0.150 0.996 Hg
0.704 0.850 0.004 Hg
0.847 0.004 0.724 Hg
0.068 0.291 0.049 O
0.090 0.833 0.462 O
0.122 0.509 0.816 O
0.180 0.303 0.422 O
0.214 0.836 0.797 O
0.266 0.627 0.398 O
0.341 0.303 0.789 O
0.408 0.647 0.725 O
0.464 0.990 0.303 O
0.536 0.010 0.697 O
0.592 0.353 0.275 O
0.659 0.697 0.211 O
0.734 0.373 0.602 O
0.786 0.164 0.203 O
0.820 0.697 0.578 O
0.878 0.491 0.184 O
0.910 0.167 0.538 O
0.932 0.709 0.951 O
```

Top 10 peaks for 2θ = 10–90°, in order of falling intensity:
- 2θ 13.07, I 100
- 2θ 17.82, I 81
- 2θ 28.32, I 66
- 2θ 13.53, I 66
- 2θ 27.37, I 62
- 2θ 30.87, I 61
- 2θ 32.33, I 44
- 2θ 31.40, I 43
- 2θ 36.61, I 37
- 2θ 32.54, I 30

Record 4
V2HgO4: calculated X-ray diffraction stick pattern (λ = 1.5418 Å (Cu Kα)), based on a crystal structure in Alexandria, relaxed with PBE+U.
Kinematic intensities with the Lorentz-polarization factor, no thermal factor.

```
V2HgO4
1.0
-3.191 3.191 4.385
3.191 -3.191 4.385
3.191 3.191 -4.385
V Hg O
4 2 8
direct
0.000 0.000 0.000 V
0.500 0.000 0.000 V
0.500 0.000 0.500 V
0.500 0.500 0.500 V
0.125 0.375 0.750 Hg
0.875 0.625 0.250 Hg
0.260 0.226 0.450 O
0.274 0.225 0.034 O
0.275 0.809 0.050 O
0.309 0.760 0.534 O
0.691 0.240 0.466 O
0.725 0.191 0.950 O
0.726 0.775 0.966 O
0.740 0.774 0.550 O
```

Top 10 peaks for 2θ = 10–90°, in order of falling intensity:
- 2θ 33.00, I 100
- 2θ 28.38, I 88
- 2θ 33.72, I 49
- 2θ 27.96, I 46
- 2θ 17.18, I 37
- 2θ 49.73, I 36
- 2θ 52.75, I 35
- 2θ 58.71, I 31
- 2θ 50.50, I 17
- 2θ 57.78, I 16

Record 5
V2HgO6: calculated X-ray diffraction stick pattern (λ = 1.5418 Å (Cu Kα)), based on a crystal structure in Alexandria, relaxed with PBE+U.
Kinematic intensities with the Lorentz-polarization factor, no thermal factor.

```
V2HgO6
1.0
4.996 0.000 0.000
0.000 14.655 0.000
0.000 0.000 6.084
V Hg O
8 4 24
direct
0.033 0.171 0.064 V
0.033 0.329 0.564 V
0.467 0.671 0.064 V
0.467 0.829 0.564 V
0.533 0.171 0.436 V
0.533 0.329 0.936 V
0.967 0.671 0.436 V
0.967 0.829 0.936 V
0.000 0.000 0.500 Hg
0.000 0.500 0.000 Hg
0.500 0.000 0.000 Hg
0.500 0.500 0.500 Hg
0.061 0.596 0.621 O
0.061 0.904 0.121 O
0.161 0.610 0.177 O
0.161 0.890 0.677 O
0.226 0.247 0.403 O
0.226 0.253 0.903 O
0.274 0.747 0.403 O
0.274 0.753 0.903 O
0.339 0.110 0.177 O
0.339 0.390 0.677 O
0.439 0.096 0.621 O
0.439 0.404 0.121 O
0.561 0.596 0.879 O
0.561 0.904 0.379 O
0.661 0.610 0.323 O
0.661 0.890 0.823 O
0.726 0.247 0.097 O
0.726 0.253 0.597 O
0.774 0.747 0.097 O
0.774 0.753 0.597 O
0.839 0.110 0.323 O
0.839 0.390 0.823 O
0.939 0.096 0.879 O
0.939 0.404 0.379 O
```

Top 10 peaks for 2θ = 10–90°, in order of falling intensity:
- 2θ 29.49, I 100
- 2θ 23.83, I 39
- 2θ 12.08, I 33
- 2θ 38.52, I 26
- 2θ 29.36, I 20
- 2θ 48.83, I 20
- 2θ 52.15, I 14
- 2θ 35.95, I 13
- 2θ 60.69, I 12
- 2θ 61.84, I 11

Record 6
HgWO4: calculated X-ray diffraction stick pattern (λ = 1.5418 Å (Cu Kα)), based on a crystal structure in Alexandria, relaxed with PBE+U.
Kinematic intensities with the Lorentz-polarization factor, no thermal factor.

```
HgWO4
1.0
3.747 -7.722 0.000
3.747 7.722 0.000
0.000 0.000 5.296
Hg W O
4 4 16
direct
0.068 0.432 0.250 Hg
0.432 0.068 0.750 Hg
0.568 0.932 0.250 Hg
0.932 0.568 0.750 Hg
0.083 0.917 0.310 W
0.417 0.583 0.810 W
0.583 0.417 0.190 W
0.917 0.083 0.690 W
0.081 0.919 0.973 O
0.111 0.389 0.750 O
0.154 0.154 0.500 O
0.186 0.814 0.541 O
0.314 0.686 0.041 O
0.346 0.346 0.000 O
0.389 0.111 0.250 O
0.419 0.581 0.473 O
0.581 0.419 0.527 O
0.611 0.889 0.750 O
0.654 0.654 0.000 O
0.686 0.314 0.959 O
0.814 0.186 0.459 O
0.846 0.846 0.500 O
0.889 0.611 0.250 O
0.919 0.081 0.027 O
```

Top 10 peaks for 2θ = 10–90°, in order of falling intensity:
- 2θ 31.46, I 100
- 2θ 28.61, I 97
- 2θ 26.44, I 48
- 2θ 42.61, I 40
- 2θ 57.37, I 37
- 2θ 55.50, I 26
- 2θ 33.85, I 25
- 2θ 43.46, I 24
- 2θ 48.59, I 17
- 2θ 68.00, I 17